Structure and computed XRD peak list of Cs2NaC6N9 (the GGA-PBE geometry in Alexandria; λ = 1.5418 Å (Cu Kα)).
Neutral-atom scattering factors, no anomalous dispersion.

Structural model:
abc: 7.2986 7.2986 14.9406
angles: 90.00 90.00 120.00
Fractional positions:
Cs: 0.3333 0.6667 0.0621
Cs: 0.3333 0.6667 0.4379
Cs: 0.6667 0.3333 0.5621
Cs: 0.6667 0.3333 0.9379
Na: 0.0000 0.0000 0.0000
Na: 0.0000 0.0000 0.5000
C: 0.1623 0.8285 0.6727
C: 0.1623 0.8285 0.8273
C: 0.1715 0.3338 0.6727
C: 0.1715 0.3338 0.8273
C: 0.3338 0.1623 0.1727
C: 0.3338 0.1623 0.3273
C: 0.6662 0.8377 0.6727
C: 0.6662 0.8377 0.8273
C: 0.8285 0.6662 0.1727
C: 0.8285 0.6662 0.3273
C: 0.8377 0.1715 0.1727
C: 0.8377 0.1715 0.3273
N: 0.0901 0.7417 0.7500
N: 0.1100 0.3223 0.5984
N: 0.1100 0.3223 0.9016
N: 0.2122 0.8900 0.5984
N: 0.2122 0.8900 0.9016
N: 0.2583 0.3484 0.7500
N: 0.3223 0.2122 0.0984
N: 0.3223 0.2122 0.4016
N: 0.3484 0.0901 0.2500
N: 0.6516 0.9099 0.7500
N: 0.6777 0.7878 0.5984
N: 0.6777 0.7878 0.9016
N: 0.7417 0.6516 0.2500
N: 0.7878 0.1100 0.0984
N: 0.7878 0.1100 0.4016
N: 0.8900 0.6777 0.0984
N: 0.8900 0.6777 0.4016
N: 0.9099 0.2583 0.2500

The 10 most intense peaks (15 to 90 degrees two-theta), sorted by position:
22.73 deg, I 100.0; 24.39 deg, I 46.1; 27.20 deg, I 84.7; 28.24 deg, I 26.6; 28.88 deg, I 55.5; 33.16 deg, I 42.6; 33.58 deg, I 50.9; 41.94 deg, I 36.8; 48.80 deg, I 32.4; 49.99 deg, I 21.7


Structure and computed XRD peak list of LiCa2Ga6 (the GGA-PBE geometry in Alexandria; λ = 1.5418 Å (Cu Kα)).
Neutral-atom scattering factors, no anomalous dispersion.

Structural model:
abc: 5.9510 5.9510 5.9403
angles: 90.00 90.00 120.00
Fractional positions:
Li: 0.0000 0.0000 0.0000
Ca: 0.3333 0.6667 0.1450
Ca: 0.6667 0.3333 0.8550
Ga: 0.1760 0.3520 0.6674
Ga: 0.1760 0.8240 0.6674
Ga: 0.3520 0.1760 0.3326
Ga: 0.6480 0.8240 0.6674
Ga: 0.8240 0.1760 0.3326
Ga: 0.8240 0.6480 0.3326

The 10 most intense peaks (15 to 90 degrees two-theta), sorted by position:
22.84 deg, I 15.2; 30.08 deg, I 13.4; 33.69 deg, I 14.7; 34.84 deg, I 58.2; 38.07 deg, I 100.0; 46.66 deg, I 32.2; 55.74 deg, I 14.2; 62.42 deg, I 20.3; 73.62 deg, I 9.5; 75.51 deg, I 11.5


Structure and computed XRD peak list of BPd6Se2 (the GGA-PBE geometry in Alexandria; λ = 1.5418 Å (Cu Kα)).
Neutral-atom scattering factors, no anomalous dispersion.

Structural model:
abc: 5.6741 5.7527 9.4140
angles: 90.00 107.06 90.00
Fractional positions:
B: 0.0000 0.0000 0.0000
B: 0.0000 0.5000 0.5000
Pd: 0.0399 0.0736 0.2270
Pd: 0.0399 0.4264 0.7270
Pd: 0.2035 0.6869 0.0399
Pd: 0.2035 0.8131 0.5399
Pd: 0.3215 0.1892 0.0144
Pd: 0.3215 0.3108 0.5144
Pd: 0.6785 0.6892 0.4856
Pd: 0.6785 0.8108 0.9856
Pd: 0.7965 0.1869 0.4601
Pd: 0.7965 0.3131 0.9601
Pd: 0.9601 0.5736 0.2730
Pd: 0.9601 0.9264 0.7730
Se: 0.3648 0.1044 0.7597
Se: 0.3648 0.3956 0.2597
Se: 0.6352 0.6044 0.7403
Se: 0.6352 0.8956 0.2403

The 10 most intense peaks (15 to 90 degrees two-theta), sorted by position:
33.20 deg, I 35.5; 35.28 deg, I 31.1; 36.63 deg, I 35.4; 36.78 deg, I 28.0; 37.10 deg, I 67.2; 38.10 deg, I 100.0; 40.08 deg, I 59.9; 40.87 deg, I 25.5; 43.39 deg, I 41.7; 43.73 deg, I 28.9


Structure and computed XRD peak list of BC2 (the GGA-PBE geometry in Alexandria; λ = 1.5418 Å (Cu Kα)).
Neutral-atom scattering factors, no anomalous dispersion.

Structural model:
abc: 2.6020 2.6020 13.0092
angles: 90.00 90.00 120.00
Fractional positions:
B: 0.0000 0.0000 0.0000
B: 0.0000 0.0000 0.1392
B: 0.3333 0.6667 0.2913
B: 0.6667 0.3333 0.9291
C: 0.0000 0.0000 0.4897
C: 0.0000 0.0000 0.6083
C: 0.3333 0.6667 0.1484
C: 0.3333 0.6667 0.6478
C: 0.3333 0.6667 0.7669
C: 0.6667 0.3333 0.3309
C: 0.6667 0.3333 0.4491
C: 0.6667 0.3333 0.8065

The 10 most intense peaks (15 to 90 degrees two-theta), sorted by position:
20.48 deg, I 3.5; 41.66 deg, I 31.8; 42.45 deg, I 100.0; 49.02 deg, I 3.2; 71.55 deg, I 20.6; 72.68 deg, I 27.8; 78.64 deg, I 4.1; 86.36 deg, I 4.9; 87.43 deg, I 14.8; 87.96 deg, I 8.3


Structure and computed XRD peak list of HoTm3Rh4 (the GGA-PBE geometry in Alexandria; λ = 1.5418 Å (Cu Kα)).
Neutral-atom scattering factors, no anomalous dispersion.

Structural model:
abc: 8.2937 8.2937 8.2937
angles: 33.55 33.55 33.55
Fractional positions:
Ho: 0.0000 0.0000 0.0000
Tm: 0.2497 0.2497 0.2497
Tm: 0.5000 0.5000 0.5000
Tm: 0.7503 0.7503 0.7503
Rh: 0.1254 0.1254 0.1254
Rh: 0.3755 0.3755 0.3755
Rh: 0.6245 0.6245 0.6245
Rh: 0.8746 0.8746 0.8746

The 8 most intense peaks (15 to 90 degrees two-theta), sorted by position:
26.33 deg, I 6.1; 37.57 deg, I 100.0; 46.46 deg, I 1.9; 54.19 deg, I 17.3; 61.22 deg, I 2.6; 67.81 deg, I 35.1; 80.19 deg, I 11.0; 86.18 deg, I 1.4


Structure and computed XRD peak list of HoSb2Pd7 (the GGA-PBE geometry in Alexandria; λ = 1.5418 Å (Cu Kα)).
Neutral-atom scattering factors, no anomalous dispersion.

Structural model:
abc: 11.4411 11.4411 11.4411
angles: 159.23 159.23 29.54
Fractional positions:
Ho: 0.0000 0.0000 0.0000
Sb: 0.3297 0.3297 0.0000
Sb: 0.6703 0.6703 0.0000
Pd: 0.0934 0.5934 0.5000
Pd: 0.2500 0.7500 0.5000
Pd: 0.4066 0.9066 0.5000
Pd: 0.5000 0.5000 0.0000
Pd: 0.5934 0.0934 0.5000
Pd: 0.7500 0.2500 0.5000
Pd: 0.9066 0.4066 0.5000

The 10 most intense peaks (15 to 90 degrees two-theta), sorted by position:
24.73 deg, I 23.3; 34.77 deg, I 7.3; 39.39 deg, I 100.0; 43.90 deg, I 38.8; 49.43 deg, I 10.8; 63.83 deg, I 12.5; 68.23 deg, I 16.2; 77.65 deg, I 26.6; 84.75 deg, I 9.0; 85.78 deg, I 6.5


Structure and computed XRD peak list of TePt2Pb (the GGA-PBE geometry in Alexandria; λ = 1.5418 Å (Cu Kα)).
Neutral-atom scattering factors, no anomalous dispersion.

Structural model:
abc: 8.7001 8.7001 8.7001
angles: 145.59 145.59 49.46
Fractional positions:
Te: 0.0000 0.0000 0.0000
Te: 0.7500 0.2500 0.5000
Pt: 0.0680 0.6250 0.9430
Pt: 0.3750 0.3180 0.4430
Pt: 0.6820 0.1250 0.0570
Pt: 0.8750 0.9320 0.5570
Pb: 0.2500 0.7500 0.5000
Pb: 0.5000 0.5000 0.0000

The 10 most intense peaks (15 to 90 degrees two-theta), sorted by position:
26.97 deg, I 100.0; 39.56 deg, I 9.8; 41.89 deg, I 58.4; 42.36 deg, I 30.3; 45.94 deg, I 12.9; 50.12 deg, I 15.1; 57.83 deg, I 18.7; 64.25 deg, I 9.0; 67.66 deg, I 12.3; 70.33 deg, I 11.1


Structure and computed XRD peak list of AlGa6Ag3 (the GGA-PBE geometry in Alexandria; λ = 1.5418 Å (Cu Kα)).
Neutral-atom scattering factors, no anomalous dispersion.

Structural model:
abc: 3.1191 3.1191 21.1806
angles: 90.00 90.00 120.00
Fractional positions:
Al: 0.0000 0.0000 0.0000
Ga: 0.3333 0.6667 0.3017
Ga: 0.3333 0.6667 0.6004
Ga: 0.3333 0.6667 0.9010
Ga: 0.6667 0.3333 0.0990
Ga: 0.6667 0.3333 0.3996
Ga: 0.6667 0.3333 0.6983
Ag: 0.0000 0.0000 0.2006
Ag: 0.0000 0.0000 0.5000
Ag: 0.0000 0.0000 0.7994

The 10 most intense peaks (15 to 90 degrees two-theta), sorted by position:
35.58 deg, I 100.0; 37.37 deg, I 46.7; 39.57 deg, I 16.2; 42.12 deg, I 30.9; 42.69 deg, I 31.0; 44.99 deg, I 51.3; 59.25 deg, I 33.9; 67.09 deg, I 14.4; 71.06 deg, I 12.3; 75.74 deg, I 32.0


Structure and computed XRD peak list of Li6ZnGe2 (the GGA-PBE geometry in Alexandria; λ = 1.5418 Å (Cu Kα)).
Neutral-atom scattering factors, no anomalous dispersion.

Structural model:
abc: 7.5954 7.5954 2.7548
angles: 90.00 90.00 120.00
Fractional positions:
Li: 0.0000 0.3387 0.0000
Li: 0.0000 0.6613 0.0000
Li: 0.3387 0.0000 0.0000
Li: 0.3387 0.3387 0.0000
Li: 0.6613 0.0000 0.0000
Li: 0.6613 0.6613 0.0000
Zn: 0.0000 0.0000 0.5000
Ge: 0.3333 0.6667 0.5000
Ge: 0.6667 0.3333 0.5000

The 10 most intense peaks (15 to 90 degrees two-theta), sorted by position:
23.42 deg, I 100.0; 32.50 deg, I 12.4; 40.45 deg, I 62.5; 41.17 deg, I 33.6; 47.91 deg, I 14.4; 53.41 deg, I 17.6; 59.09 deg, I 19.9; 64.97 deg, I 11.1; 74.55 deg, I 19.4; 82.75 deg, I 8.2


Structure and computed XRD peak list of Hf3USe8 (the GGA-PBE geometry in Alexandria; λ = 1.5418 Å (Cu Kα)).
Neutral-atom scattering factors, no anomalous dispersion.

Structural model:
abc: 7.7170 7.7170 8.3525
angles: 118.14 118.14 60.03
Fractional positions:
Hf: 0.0000 0.0000 0.0000
Hf: 0.0000 0.5000 0.0000
Hf: 0.5000 0.0000 0.0000
U: 0.5000 0.5000 0.0000
Se: 0.2295 0.7498 0.2244
Se: 0.2417 0.2417 0.2204
Se: 0.2501 0.2501 0.7757
Se: 0.2502 0.7705 0.7756
Se: 0.7498 0.2295 0.2244
Se: 0.7499 0.7499 0.2243
Se: 0.7583 0.7583 0.7796
Se: 0.7705 0.2502 0.7756

The 10 most intense peaks (15 to 90 degrees two-theta), sorted by position:
27.02 deg, I 61.3; 31.63 deg, I 100.0; 31.94 deg, I 49.3; 34.39 deg, I 15.0; 40.24 deg, I 28.2; 43.54 deg, I 19.1; 43.99 deg, I 38.1; 47.10 deg, I 50.3; 55.57 deg, I 13.6; 58.03 deg, I 17.7


Structure and computed XRD peak list of LiSnIO5 (the GGA-PBE geometry in Alexandria; λ = 1.5418 Å (Cu Kα)).
Neutral-atom scattering factors, no anomalous dispersion.

Structural model:
abc: 5.6695 5.6695 8.0552
angles: 110.11 110.11 90.54
Fractional positions:
Li: 0.0411 0.9589 0.7500
Li: 0.9589 0.0411 0.2500
Sn: 0.0000 0.5000 0.0000
Sn: 0.5000 0.0000 0.5000
I: 0.4224 0.5776 0.7500
I: 0.5776 0.4224 0.2500
O: 0.1619 0.6567 0.8435
O: 0.2237 0.7763 0.2500
O: 0.2465 0.2629 0.5038
O: 0.2629 0.2465 0.0038
O: 0.3433 0.8381 0.6565
O: 0.6567 0.1619 0.3435
O: 0.7371 0.7535 0.9962
O: 0.7535 0.7371 0.4962
O: 0.7763 0.2237 0.7500
O: 0.8381 0.3433 0.1565

The 10 most intense peaks (15 to 90 degrees two-theta), sorted by position:
16.85 deg, I 92.2; 24.58 deg, I 100.0; 24.72 deg, I 27.3; 25.49 deg, I 27.6; 25.76 deg, I 90.4; 35.87 deg, I 63.4; 36.12 deg, I 29.1; 44.72 deg, I 33.7; 52.31 deg, I 38.0; 52.55 deg, I 25.0


Structure and computed XRD peak list of NaPaIn2F8 (the GGA-PBE geometry in Alexandria; λ = 1.5418 Å (Cu Kα)).
Neutral-atom scattering factors, no anomalous dispersion.

Structural model:
abc: 7.1832 7.1832 7.1832
angles: 129.62 129.62 74.02
Fractional positions:
Na: 0.0000 0.0000 0.0000
Pa: 0.7500 0.2500 0.5000
In: 0.2500 0.7500 0.5000
In: 0.5000 0.5000 0.0000
F: 0.0678 0.1461 0.4878
F: 0.0678 0.5800 0.9217
F: 0.4200 0.3417 0.4878
F: 0.4200 0.9322 0.0783
F: 0.6583 0.1461 0.0783
F: 0.6583 0.5800 0.5122
F: 0.8539 0.3417 0.9217
F: 0.8539 0.9322 0.5122

The 10 most intense peaks (15 to 90 degrees two-theta), sorted by position:
15.45 deg, I 17.5; 16.43 deg, I 32.4; 20.54 deg, I 15.9; 25.80 deg, I 100.0; 29.21 deg, I 17.9; 41.78 deg, I 21.3; 43.25 deg, I 39.8; 49.76 deg, I 32.8; 52.32 deg, I 14.1; 69.08 deg, I 14.0


Structure and computed XRD peak list of Mg8Rh2Pb3 (the GGA-PBE geometry in Alexandria; λ = 1.5418 Å (Cu Kα)).
Neutral-atom scattering factors, no anomalous dispersion.

Structural model:
abc: 8.7999 8.7999 4.5552
angles: 90.00 90.00 120.20
Fractional positions:
Mg: 0.1176 0.4217 0.5000
Mg: 0.1391 0.8609 0.0000
Mg: 0.3266 0.6734 0.0000
Mg: 0.4217 0.1176 0.5000
Mg: 0.5783 0.8824 0.5000
Mg: 0.6734 0.3266 0.0000
Mg: 0.8609 0.1391 0.0000
Mg: 0.8824 0.5783 0.5000
Rh: 0.2326 0.7674 0.5000
Rh: 0.7674 0.2326 0.5000
Pb: 0.0000 0.0000 0.5000
Pb: 0.3031 0.3031 0.0000
Pb: 0.6969 0.6969 0.0000

The 10 most intense peaks (15 to 90 degrees two-theta), sorted by position:
22.75 deg, I 68.6; 23.35 deg, I 51.9; 28.23 deg, I 43.6; 30.62 deg, I 24.9; 31.14 deg, I 28.4; 36.93 deg, I 100.0; 39.57 deg, I 21.9; 46.45 deg, I 17.1; 51.18 deg, I 15.4; 70.05 deg, I 16.8